For Mg3FeSi2O8, DFT lattice parameters and positions (GGA+U) gives the computed X-ray powder pattern in this record (a wavelength of 1.5418 Å).

Main lines, by angle (10 to 80 degrees two-theta):
d/Å, 2θ/deg, I/Imax
3.958, 22.46, 39.4
3.549, 25.09, 55.7
3.050, 29.28, 34.6
2.813, 31.81, 64.0
2.554, 35.13, 100.0
2.499, 35.93, 82.3
2.308, 39.03, 29.5
1.775, 51.50, 69.8
1.524, 60.77, 32.2
1.507, 61.52, 35.7

Crystal structure
```
data_Mg3FeSi2O8
_chemical_formula_sum 'Mg6 Fe2 Si4 O16'
_cell_length_a 6.0973
_cell_length_b 4.8081
_cell_length_c 10.4057
_cell_angle_alpha 90.00
_cell_angle_beta 90.00
_cell_angle_gamma 90.00
_space_group_name_H-M_alt 'P m c 21'
_space_group_IT_number 26
_space_group_name_Hall 'P 2c -2'
loop_
_atom_site_label
_atom_site_fract_x
_atom_site_fract_y
_atom_site_fract_z
Mg1 0.0000 0.2424 0.0000
Mg2 0.2502 0.2512 0.2775
Fe1 0.5000 0.2660 0.5555
Si1 0.0000 0.3221 0.6850
Si2 0.5000 0.1728 0.8714
O1 0.0000 0.0172 0.1860
O2 0.0000 0.4719 0.8302
O3 0.2129 0.4731 0.6148
O4 0.2808 0.0298 0.9388
O5 0.5000 0.0206 0.7267
O6 0.5000 0.4880 0.3643
```